1.
Starting from a structure optimized by DFT (GGA-PBE), the X-ray powder pattern of Dy4SbTe2 was simulated for λ = 1.5418 Å (Cu Kα).
No peak broadening, texture or thermal motion is included.

Largest 6 diffraction maxima, low angle first, 2θ = 15–90°:
2θ (°), intensity
27.7, 84
28.8, 69
29.5, 100
31.4, 48
38.2, 71
43.4, 48

Structural model:
```
Dy4SbTe2
1.0
2.0947 -6.9160 0.0000
2.0947 6.9160 0.0000
0.0000 0.0000 14.5514
Dy Sb Te
8 2 4
Direct
0.0000 0.0000 0.0000 Dy
0.0000 0.0000 0.5000 Dy
0.2868 0.7132 0.6322 Dy
0.2868 0.7132 0.8678 Dy
0.4317 0.5683 0.2500 Dy
0.5683 0.4317 0.7500 Dy
0.7132 0.2868 0.1322 Dy
0.7132 0.2868 0.3678 Dy
0.0927 0.9073 0.2500 Sb
0.9073 0.0927 0.7500 Sb
0.3560 0.6440 0.0610 Te
0.3560 0.6440 0.4390 Te
0.6440 0.3560 0.5610 Te
0.6440 0.3560 0.9390 Te
```

=====

2.
Starting from a structure optimized by DFT (GGA-PBE), the X-ray powder pattern of Ca7Bi3N2 was simulated for λ = 1.5418 Å (Cu Kα).
No peak broadening, texture or thermal motion is included.

Largest 6 diffraction maxima, low angle first, 2θ = 15–90°:
2θ (°), intensity
18.5, 51
24.9, 74
25.8, 58
33.1, 100
36.8, 57
45.0, 33

Structural model:
```
Ca7Bi3N2
1.0
-2.4428 2.4428 13.0856
2.4428 -2.4428 13.0856
2.4428 2.4428 -13.0856
Ca Bi N
7 3 2
Direct
0.0000 0.0000 0.0000 Ca
0.0952 0.5952 0.5000 Ca
0.1908 0.1908 0.0000 Ca
0.4048 0.9048 0.5000 Ca
0.5952 0.0952 0.5000 Ca
0.8092 0.8092 0.0000 Ca
0.9048 0.4048 0.5000 Ca
0.3169 0.3169 0.0000 Bi
0.5000 0.5000 0.0000 Bi
0.6831 0.6831 0.0000 Bi
0.0948 0.0948 0.0000 N
0.9052 0.9052 0.0000 N
```

=====

3.
Starting from a structure optimized by DFT (GGA-PBE), the X-ray powder pattern of Be2PtPb was simulated for λ = 1.5418 Å (Cu Kα).
No peak broadening, texture or thermal motion is included.

Largest 6 diffraction maxima, low angle first, 2θ = 15–90°:
2θ (°), intensity
16.3, 38
26.8, 62
30.5, 58
32.0, 100
42.2, 49
47.2, 37

Structural model:
```
Be2PtPb
1.0
3.3443 -1.9185 0.0000
3.3443 1.9185 0.0000
-0.3422 0.0000 5.4510
Be Pt Pb
2 1 1
Direct
0.0000 0.0000 0.0000 Be
0.6687 0.6687 0.0456 Be
0.3408 0.3408 0.1427 Pt
0.0322 0.0322 0.5153 Pb
```

=====

4.
Starting from a structure optimized by DFT (GGA-PBE), the X-ray powder pattern of Cs3I2 was simulated for λ = 1.5418 Å (Cu Kα).
No peak broadening, texture or thermal motion is included.

Largest 6 diffraction maxima, low angle first, 2θ = 15–90°:
2θ (°), intensity
21.0, 100
26.8, 96
32.8, 58
34.4, 28
42.8, 26
51.3, 32

Structural model:
```
Cs3I2
1.0
4.7308 2.7314 9.3840
-4.7308 2.7314 9.3840
0.0000 -5.4627 9.3840
Cs I
6 4
Direct
0.0788 0.7500 0.4212 Cs
0.2500 0.5788 0.9212 Cs
0.4212 0.0788 0.7500 Cs
0.5788 0.9212 0.2500 Cs
0.7500 0.4212 0.0788 Cs
0.9212 0.2500 0.5788 Cs
0.1638 0.1638 0.1638 I
0.3362 0.3362 0.3362 I
0.6638 0.6638 0.6638 I
0.8362 0.8362 0.8362 I
```

=====

5.
Starting from a structure optimized by DFT (GGA-PBE), the X-ray powder pattern of BaNb was simulated for λ = 1.5418 Å (Cu Kα).
No peak broadening, texture or thermal motion is included.

Largest 6 diffraction maxima, low angle first, 2θ = 15–90°:
2θ (°), intensity
25.0, 100
29.2, 69
30.5, 56
32.9, 40
33.2, 68
45.6, 42

Structural model:
```
BaNb
1.0
-1.8484 7.2136 4.1026
1.8484 -7.2136 4.1026
1.8484 7.2136 -4.1026
Ba Nb
3 3
Direct
0.0000 0.0000 0.0000 Ba
0.4738 0.1893 0.2844 Ba
0.9049 0.1893 0.7156 Ba
0.2536 0.8428 0.4108 Nb
0.4320 0.8428 0.5892 Nb
0.5220 0.5220 0.0000 Nb
```

=====

6.
Starting from a structure optimized by DFT (GGA-PBE), the X-ray powder pattern of Y2Tm3S6 was simulated for λ = 1.5418 Å (Cu Kα).
No peak broadening, texture or thermal motion is included.

Largest 6 diffraction maxima, low angle first, 2θ = 15–90°:
2θ (°), intensity
27.0, 21
28.3, 43
32.8, 100
47.0, 59
55.8, 16
58.5, 18

Structural model:
```
Y2Tm3S6
1.0
3.3557 -5.7888 0.0000
3.3557 5.7888 0.0000
-2.2305 0.0000 6.3153
Y Tm S
2 3 6
Direct
0.1653 0.8347 0.0000 Y
0.8347 0.1653 0.0000 Y
0.0000 0.0000 0.5000 Tm
0.3365 0.6635 0.5000 Tm
0.6635 0.3365 0.5000 Tm
0.0821 0.4147 0.7435 S
0.2533 0.2533 0.2516 S
0.4147 0.0821 0.7435 S
0.5853 0.9179 0.2565 S
0.7467 0.7467 0.7484 S
0.9179 0.5853 0.2565 S
```

=====

7.
Starting from a structure optimized by DFT (GGA-PBE), the X-ray powder pattern of Dy3Mg5Hg2 was simulated for λ = 1.5418 Å (Cu Kα).
No peak broadening, texture or thermal motion is included.

Largest 6 diffraction maxima, low angle first, 2θ = 15–90°:
2θ (°), intensity
28.5, 38
28.6, 62
31.6, 100
39.8, 67
40.7, 52
58.2, 41

Structural model:
```
Dy3Mg5Hg2
1.0
-6.2624 6.5956 3.1383
6.2624 -6.5956 3.1383
6.2624 6.5956 -3.1383
Dy Mg Hg
6 10 4
Direct
0.2438 0.1343 0.3781 Dy
0.2500 0.2500 0.0000 Dy
0.2562 0.6343 0.8905 Dy
0.7438 0.3657 0.1095 Dy
0.7500 0.7500 0.0000 Dy
0.7562 0.8657 0.6219 Dy
0.1527 0.3869 0.5396 Mg
0.2500 0.5067 0.2567 Mg
0.2500 0.7500 0.5000 Mg
0.2500 0.9933 0.7433 Mg
0.3473 0.8869 0.2341 Mg
0.6527 0.1131 0.7659 Mg
0.7500 0.0067 0.2567 Mg
0.7500 0.2500 0.5000 Mg
0.7500 0.4933 0.7433 Mg
0.8473 0.6131 0.4604 Mg
0.1475 0.8615 0.0090 Hg
0.3525 0.3615 0.7140 Hg
0.6475 0.6385 0.2860 Hg
0.8525 0.1385 0.9910 Hg
```

=====

8.
Starting from a structure optimized by DFT (GGA-PBE), the X-ray powder pattern of La2FePt2 was simulated for λ = 1.5418 Å (Cu Kα).
No peak broadening, texture or thermal motion is included.

Largest 6 diffraction maxima, low angle first, 2θ = 15–90°:
2θ (°), intensity
23.0, 39
31.2, 100
38.2, 44
39.1, 40
44.7, 37
50.1, 40

Structural model:
```
La2FePt2
1.0
-2.8662 2.8662 3.8736
2.8662 -2.8662 3.8736
2.8662 2.8662 -3.8736
La Fe Pt
2 1 2
Direct
0.2500 0.7500 0.5000 La
0.7500 0.2500 0.5000 La
0.0000 0.0000 0.0000 Fe
0.3266 0.3266 0.0000 Pt
0.6734 0.6734 0.0000 Pt
```

=====

9.
Starting from a structure optimized by DFT (GGA-PBE), the X-ray powder pattern of K3IrRh3O8 was simulated for λ = 1.5418 Å (Cu Kα).
No peak broadening, texture or thermal motion is included.

Largest 6 diffraction maxima, low angle first, 2θ = 15–90°:
2θ (°), intensity
15.0, 100
30.3, 29
32.7, 28
33.9, 50
38.3, 74
57.5, 23

Structural model:
```
K3IrRh3O8
1.0
3.2033 1.8494 5.8920
-3.2033 1.8494 5.8920
0.0000 -3.6989 5.8920
K Ir Rh O
3 1 3 8
Direct
0.0000 0.5000 0.5000 K
0.5000 0.0000 0.5000 K
0.5000 0.5000 0.0000 K
0.5000 0.5000 0.5000 Ir
0.0000 0.0000 0.5000 Rh
0.0000 0.5000 0.0000 Rh
0.5000 0.0000 0.0000 Rh
0.2223 0.2223 0.2223 O
0.2227 0.7196 0.7196 O
0.2804 0.2804 0.7773 O
0.2804 0.7773 0.2804 O
0.7196 0.2227 0.7196 O
0.7196 0.7196 0.2227 O
0.7773 0.2804 0.2804 O
0.7777 0.7777 0.7777 O
```

=====

10.
Starting from a structure optimized by DFT (GGA-PBE), the X-ray powder pattern of LiVSe3 was simulated for λ = 1.5418 Å (Cu Kα).
No peak broadening, texture or thermal motion is included.

Largest 6 diffraction maxima, low angle first, 2θ = 15–90°:
2θ (°), intensity
15.5, 65
27.0, 100
31.1, 18
39.0, 18
44.3, 18
47.8, 19

Structural model:
```
LiVSe3
1.0
3.4615 -5.7237 0.0000
3.4615 5.7237 0.0000
-1.8694 0.0000 5.6955
Li V Se
2 2 6
Direct
0.1539 0.8461 0.5000 Li
0.8461 0.1539 0.0000 Li
0.5096 0.5133 0.7758 V
0.5133 0.5096 0.2758 V
0.1945 0.2353 0.4138 Se
0.2353 0.1945 0.9138 Se
0.4787 0.7901 0.0596 Se
0.5408 0.8250 0.5758 Se
0.7901 0.4787 0.5596 Se
0.8250 0.5408 0.0758 Se
```

=====

11.
Starting from a structure optimized by DFT (GGA-PBE), the X-ray powder pattern of Sr2Ca3Ac7 was simulated for λ = 1.5418 Å (Cu Kα).
No peak broadening, texture or thermal motion is included.

Largest 6 diffraction maxima, low angle first, 2θ = 15–90°:
2θ (°), intensity
22.4, 26
26.2, 39
26.4, 34
28.0, 54
28.2, 100
53.9, 26

Structural model:
```
Sr2Ca3Ac7
1.0
6.3382 0.0000 0.0000
0.0000 4.0360 0.0000
-2.9373 0.0000 22.0452
Sr Ca Ac
2 3 7
Direct
0.1538 0.0000 0.2887 Sr
0.8462 0.0000 0.7113 Sr
0.0000 0.0000 0.0000 Ca
0.3037 0.5000 0.6178 Ca
0.6963 0.5000 0.3822 Ca
0.0834 0.5000 0.1335 Ac
0.2314 0.0000 0.4597 Ac
0.4023 0.0000 0.8329 Ac
0.5000 0.5000 0.0000 Ac
0.5977 0.0000 0.1671 Ac
0.7686 0.0000 0.5403 Ac
0.9166 0.5000 0.8665 Ac
```

=====

12.
Starting from a structure optimized by DFT (GGA-PBE), the X-ray powder pattern of Tb2Al5Ag4 was simulated for λ = 1.5418 Å (Cu Kα).
No peak broadening, texture or thermal motion is included.

Largest 6 diffraction maxima, low angle first, 2θ = 15–90°:
2θ (°), intensity
20.0, 100
32.8, 41
33.8, 90
36.8, 64
38.8, 71
42.3, 60

Structural model:
```
Tb2Al5Ag4
1.0
0.0000 4.6129 8.8632
2.7290 0.0000 8.8632
2.7290 4.6129 0.0000
Tb Al Ag
2 5 4
Direct
0.1040 0.1040 0.8960 Tb
0.8960 0.8960 0.1040 Tb
0.0000 0.0000 0.5000 Al
0.2500 0.2500 0.2500 Al
0.5000 0.5000 0.0000 Al
0.5000 0.5000 0.5000 Al
0.7500 0.7500 0.7500 Al
0.2058 0.5317 0.4683 Ag
0.4683 0.7942 0.2058 Ag
0.5317 0.2058 0.7942 Ag
0.7942 0.4683 0.5317 Ag
```

=====

13.
Starting from a structure optimized by DFT (GGA-PBE), the X-ray powder pattern of SrSn3Sb3 was simulated for λ = 1.5418 Å (Cu Kα).
No peak broadening, texture or thermal motion is included.

Largest 6 diffraction maxima, low angle first, 2θ = 15–90°:
2θ (°), intensity
15.0, 40
21.3, 41
26.2, 100
37.3, 49
40.4, 63
43.4, 39

Structural model:
```
SrSn3Sb3
1.0
8.3461 0.0000 0.0000
0.0000 8.3461 0.0000
0.0000 0.0000 8.3461
Sr Sn Sb
2 6 6
Direct
0.0000 0.0000 0.0000 Sr
0.5000 0.5000 0.5000 Sr
0.0000 0.2500 0.5000 Sn
0.0000 0.7500 0.5000 Sn
0.2500 0.5000 0.0000 Sn
0.5000 0.0000 0.2500 Sn
0.5000 0.0000 0.7500 Sn
0.7500 0.5000 0.0000 Sn
0.0000 0.5000 0.2500 Sb
0.0000 0.5000 0.7500 Sb
0.2500 0.0000 0.5000 Sb
0.5000 0.2500 0.0000 Sb
0.5000 0.7500 0.0000 Sb
0.7500 0.0000 0.5000 Sb
```